# TbCu3Se3
Calculated powder diffractogram, Cu Ka. Input: a structure optimized by DFT (GGA-PBE).

The 8 most intense peaks (2θ from 5° to 70°), by angle:
- 2θ 15.29, rel. 25
- 2θ 17.16, rel. 17
- 2θ 28.89, rel. 100
- 2θ 37.47, rel. 99
- 2θ 44.88, rel. 92
- 2θ 48.91, rel. 44
- 2θ 59.84, rel. 26
- 2θ 62.42, rel. 17

Atomic structure:
```
data_TbCu3Se3
_chemical_formula_sum 'Tb6 Cu18 Se18'
_symmetry_space_group_name_H-M 'R -3'
_symmetry_Int_Tables_number 148
_symmetry_space_group_name_Hall '-R 3'
_cell_length_a 6.9960
_cell_length_b 6.9960
_cell_length_c 19.7970
_cell_angle_alpha 90.00
_cell_angle_beta 90.00
_cell_angle_gamma 120.00
loop_
_atom_site_label
_atom_site_type_symbol
_atom_site_fract_x
_atom_site_fract_y
_atom_site_fract_z
Tb1 Tb 0.0000 0.0000 0.1664
Cu1 Cu 0.0012 0.6560 0.6240
Se1 Se 0.0010 0.6727 0.4171
```

# VCu3Te3Se
Calculated powder diffractogram, Cu Ka. Input: a structure optimized by DFT (GGA-PBE).

The 8 most intense peaks (2θ from 5° to 70°), by angle:
- 2θ 15.17, rel. 26
- 2θ 26.27, rel. 36
- 2θ 26.50, rel. 100
- 2θ 43.71, rel. 56
- 2θ 44.00, rel. 56
- 2θ 51.97, rel. 32
- 2θ 52.10, rel. 15
- 2θ 63.75, rel. 17

Atomic structure:
```
data_VCu3Te3Se
_chemical_formula_sum 'V3 Cu9 Te9 Se3'
_symmetry_space_group_name_H-M 'R 3 m'
_symmetry_Int_Tables_number 160
_symmetry_space_group_name_Hall 'R 3 -2"'
_cell_length_a 8.2317
_cell_length_b 8.2317
_cell_length_c 10.1789
_cell_angle_alpha 90.00
_cell_angle_beta 90.00
_cell_angle_gamma 120.00
loop_
_atom_site_label
_atom_site_type_symbol
_atom_site_fract_x
_atom_site_fract_y
_atom_site_fract_z
V1 V 0.0000 0.0000 0.0000
Cu1 Cu 0.1705 0.3410 0.8328
Te1 Te 0.0064 0.5032 0.2473
Se1 Se 0.0000 0.0000 0.2330
```

# VCu3Te2Se2
Calculated powder diffractogram, Cu Ka. Input: a structure optimized by DFT (GGA-PBE).

The 8 most intense peaks (2θ from 5° to 70°), by angle:
- 2θ 15.37, rel. 44
- 2θ 26.54, rel. 94
- 2θ 27.02, rel. 82
- 2θ 43.80, rel. 26
- 2θ 44.45, rel. 100
- 2θ 45.02, rel. 24
- 2θ 52.22, rel. 25
- 2θ 53.02, rel. 26

Atomic structure:
```
data_VCu3Te2Se2
_chemical_formula_sum 'V2 Cu6 Te4 Se4'
_symmetry_space_group_name_H-M 'C m m 2'
_symmetry_Int_Tables_number 35
_symmetry_space_group_name_Hall 'C 2 -2'
_cell_length_a 8.0547
_cell_length_b 8.2674
_cell_length_c 5.7597
_cell_angle_alpha 90.00
_cell_angle_beta 90.00
_cell_angle_gamma 90.00
loop_
_atom_site_label
_atom_site_type_symbol
_atom_site_fract_x
_atom_site_fract_y
_atom_site_fract_z
V1 V 0.0000 0.0000 0.0000
Cu1 Cu 0.0000 0.0000 0.5122
Cu2 Cu 0.2500 0.2500 0.9932
Te1 Te 0.2392 0.5000 0.2583
Se1 Se 0.0000 0.2344 0.7636
```

# TlCuSe2
Calculated powder diffractogram, Cu Ka. Input: a structure optimized by DFT (GGA-PBE).

The 8 most intense peaks (2θ from 5° to 70°), by angle:
- 2θ 16.62, rel. 13
- 2θ 25.85, rel. 100
- 2θ 26.84, rel. 12
- 2θ 34.50, rel. 15
- 2θ 42.78, rel. 47
- 2θ 42.96, rel. 22
- 2θ 50.50, rel. 16
- 2θ 50.82, rel. 29

Atomic structure:
```
data_TlCuSe2
_chemical_formula_sum 'Tl4 Cu4 Se8'
_symmetry_space_group_name_H-M 'I -4 2 d'
_symmetry_Int_Tables_number 122
_symmetry_space_group_name_Hall 'I -4 2bw'
_cell_length_a 5.9546
_cell_length_b 5.9546
_cell_length_c 12.0064
_cell_angle_alpha 90.00
_cell_angle_beta 90.00
_cell_angle_gamma 90.00
loop_
_atom_site_label
_atom_site_type_symbol
_atom_site_fract_x
_atom_site_fract_y
_atom_site_fract_z
Tl1 Tl 0.0000 0.0000 0.0000
Cu1 Cu 0.0000 0.0000 0.5000
Se1 Se 0.2022 0.2500 0.6250
```

# Tl2CuSe2
Calculated powder diffractogram, Cu Ka. Input: a structure optimized by DFT (GGA-PBE).

The 8 most intense peaks (2θ from 5° to 70°), by angle:
- 2θ 20.22, rel. 100
- 2θ 27.55, rel. 23
- 2θ 28.74, rel. 42
- 2θ 41.10, rel. 16
- 2θ 43.01, rel. 28
- 2θ 46.21, rel. 23
- 2θ 47.97, rel. 22
- 2θ 61.00, rel. 20

Atomic structure:
```
data_Tl2CuSe2
_chemical_formula_sum 'Tl2 Cu1 Se2'
_symmetry_space_group_name_H-M 'P 4/m m m'
_symmetry_Int_Tables_number 123
_symmetry_space_group_name_Hall '-P 4 2'
_cell_length_a 4.3926
_cell_length_b 4.3926
_cell_length_c 14.3737
_cell_angle_alpha 90.00
_cell_angle_beta 90.00
_cell_angle_gamma 90.00
loop_
_atom_site_label
_atom_site_type_symbol
_atom_site_fract_x
_atom_site_fract_y
_atom_site_fract_z
Tl1 Tl 0.0000 0.0000 0.1621
Cu1 Cu 0.0000 0.0000 0.5000
Se1 Se 0.0000 0.0000 0.3455
```

# Tl2CuSe2
Calculated powder diffractogram, Cu Ka. Input: a structure optimized by DFT (GGA-PBE).

The 8 most intense peaks (2θ from 5° to 70°), by angle:
- 2θ 20.23, rel. 70
- 2θ 28.49, rel. 100
- 2θ 28.63, rel. 47
- 2θ 35.19, rel. 69
- 2θ 40.72, rel. 38
- 2θ 45.87, rel. 38
- 2θ 50.79, rel. 40
- 2θ 59.26, rel. 25

Atomic structure:
```
data_Tl2CuSe2
_chemical_formula_sum 'Tl4 Cu2 Se4'
_symmetry_space_group_name_H-M 'I 4/m m m'
_symmetry_Int_Tables_number 139
_symmetry_space_group_name_Hall '-I 4 2'
_cell_length_a 6.2667
_cell_length_b 6.2667
_cell_length_c 8.7786
_cell_angle_alpha 90.00
_cell_angle_beta 90.00
_cell_angle_gamma 90.00
loop_
_atom_site_label
_atom_site_type_symbol
_atom_site_fract_x
_atom_site_fract_y
_atom_site_fract_z
Tl1 Tl 0.0000 0.5000 0.2500
Cu1 Cu 0.0000 0.0000 0.0000
Se1 Se 0.0000 0.0000 0.2548
```